Starting from a crystal structure in Alexandria, relaxed with PBE+U, the X-ray powder pattern of In2Mo3O8 was computed for Cu Kα, 1.54184 Å.
Neutral-atom scattering factors, no anomalous dispersion.

Peak list (10 most intense, 10 to 90 degrees two-theta, low angle first)
2θ = 24.89°, I = 47, hkl 1 1 2; 2θ = 27.37°, I = 70, hkl 1 3 1; 2θ = 28.68°, I = 31, hkl 0 4 0; 2θ = 32.25°, I = 21, hkl 1 3 2; 2θ = 32.61°, I = 59, hkl 0 2 3; 2θ = 32.86°, I = 100, hkl 2 2 1; 2θ = 33.22°, I = 27, hkl 1 1 3; 2θ = 53.52°, I = 26, hkl 2 6 1; 2θ = 57.56°, I = 59, hkl 2 4 4; 2θ = 67.60°, I = 20, hkl 4 2 3

Crystal structure
Lattice parameters (Å, degrees): 6.4232 12.4501 9.1804 90.00 90.00 90.00
Space group Cmce (No. 64)
Symmetry-distinct sites (fractional):
1 In 0.0000 0.1283 0.1144
2 Mo 0.0000 0.0000 0.5000
3 Mo 0.2500 0.1306 0.7500
4 O 0.0000 0.0075 0.7357
5 O 0.0000 0.2416 0.7511
6 O 0.2340 0.1121 0.5163